Diffraction record for Ce2NdF11. The powder XRD pattern is computed, not measured: it uses the PBE geometry in Alexandria and CuKα.

Principal peaks in the range 2θ from 10° to 90°, most intense first:
(hkl)  2θ (°)  I_rel
1 1 2  20.7  100.0
0 2 2  23.1  72.4
2 1 1  24.1  64.7
1 2 1  21.4  44.9
3 3 2  44.3  40.3
4 2 0  46.4  39.2

Atomic structure:
```
data_Ce2NdF11
_symmetry_space_group_name_H-M 'I b a m'
_symmetry_Int_Tables_number 72
_symmetry_space_group_name_Hall '-I 2 2c'
_cell_length_a 8.422
_cell_length_b 10.539
_cell_length_c 11.281
_cell_angle_alpha 90.00
_cell_angle_beta 90.00
_cell_angle_gamma 90.00
loop_
_atom_site_label
_atom_site_type_symbol
_atom_site_fract_x
_atom_site_fract_y
_atom_site_fract_z
_atom_site_occupancy
Ce1 Ce 0.146 0.182 0.000 1
Nd1 Nd 0.000 0.500 0.250 1
F1 F 0.000 0.000 0.000 1
F2 F 0.096 0.323 0.140 1
F3 F 0.127 0.215 0.500 1
F4 F 0.221 0.426 0.365 1
```

Diffraction record for Ce4O4F5. The powder XRD pattern is computed, not measured: it uses the PBE geometry in Alexandria and CuKα.

Principal peaks in the range 2θ from 10° to 90°, most intense first:
(hkl)  2θ (°)  I_rel
2 1 1  31.1  100.0
1 3 0  28.9  82.3
1 4 1  45.0  60.9
2 2 0  25.8  53.8
1 0 1  25.0  39.9
4 3 1  52.6  34.4

Atomic structure:
```
data_Ce4O4F5
_symmetry_space_group_name_H-M 'I 4/m'
_symmetry_Int_Tables_number 87
_symmetry_space_group_name_Hall '-I 4'
_cell_length_a 9.781
_cell_length_b 9.781
_cell_length_c 3.817
_cell_angle_alpha 90.00
_cell_angle_beta 90.00
_cell_angle_gamma 90.00
loop_
_atom_site_label
_atom_site_type_symbol
_atom_site_fract_x
_atom_site_fract_y
_atom_site_fract_z
_atom_site_occupancy
Ce1 Ce 0.070 0.262 0.000 1
O1 O 0.120 0.375 0.500 1
F1 F 0.000 0.000 0.000 1
F2 F 0.108 0.813 0.500 1
```

Diffraction record for CeO2F4. The powder XRD pattern is computed, not measured: it uses the PBE geometry in Alexandria and CuKα.

Principal peaks in the range 2θ from 10° to 90°, most intense first:
(hkl)  2θ (°)  I_rel
0 0 1  11.7  100.0
0 1 1  24.3  41.3
1 0 0  23.6  29.2
0 0 2  23.5  17.9
2 0 1  47.4  15.4
0 1 -1  28.3  14.2

Atomic structure:
```
data_CeO2F4
_symmetry_space_group_name_H-M 'P -1'
_symmetry_Int_Tables_number 2
_cell_length_a 3.841
_cell_length_b 3.844
_cell_length_c 7.874
_cell_angle_alpha 79.18
_cell_angle_beta 78.60
_cell_angle_gamma 88.97
loop_
_symmetry_equiv_pos_as_xyz
'x,y,z'
'-x,-y,-z'
loop_
_atom_site_label
_atom_site_type_symbol
_atom_site_fract_x
_atom_site_fract_y
_atom_site_fract_z
_atom_site_occupancy
Ce1 Ce 0.000 0.000 0.000 1
O1 O 0.315 0.317 0.495 1
F1 F 0.066 0.562 0.837 1
F2 F 0.435 0.937 0.163 1
```

Diffraction record for Rb3Ce2O3F4. The powder XRD pattern is computed, not measured: it uses the PBE geometry in Alexandria and CuKα.

Principal peaks in the range 2θ from 10° to 90°, most intense first:
(hkl)  2θ (°)  I_rel
1 0 1  27.6  100.0
0 5 1  26.6  83.9
1 5 0  27.7  79.7
1 5 2  47.5  36.9
0 0 2  37.8  35.0
1 10 1  47.7  32.7

Atomic structure:
```
data_Rb3Ce2O3F4
_symmetry_space_group_name_H-M 'I m m 2'
_symmetry_Int_Tables_number 44
_cell_length_a 4.409
_cell_length_b 23.600
_cell_length_c 4.765
_cell_angle_alpha 90.00
_cell_angle_beta 90.00
_cell_angle_gamma 90.00
loop_
_symmetry_equiv_pos_as_xyz
'x,y,z'
'-x,-y,z'
'-x,y,z'
'x,-y,z'
'x+1/2,y+1/2,z+1/2'
'-x+1/2,-y+1/2,z+1/2'
'-x+1/2,y+1/2,z+1/2'
'x+1/2,-y+1/2,z+1/2'
loop_
_atom_site_label
_atom_site_type_symbol
_atom_site_fract_x
_atom_site_fract_y
_atom_site_fract_z
_atom_site_occupancy
Rb1 Rb 0.000 0.000 0.000 1
Rb2 Rb 0.000 0.188 0.997 1
Ce1 Ce 0.000 0.407 0.000 1
O1 O 0.000 0.100 0.498 1
O2 O 0.000 0.500 0.001 1
F1 F 0.000 0.305 0.005 1
F2 F 0.000 0.400 0.500 1
```